Diffraction record for Ba2HoMgNbO6. The X-ray powder pattern is calculated, not measured: it uses a cell relaxed with PBE and Cu Kα X-rays.
Intensities are scaled so that the largest is 100.

a b c (Å): 10.430 6.011 6.668
angles (deg): 90.00 121.57 90.00
Space group Cm (No. 8)
Asymmetric unit:
Ba  0.000  0.000  0.000 (multiplicity 2)
Ba  0.040  0.500  0.623 (multiplicity 2)
Ho  0.208  0.000  0.624 (multiplicity 2)
Mg  0.370  0.000  0.109 (multiplicity 2)
Nb  0.234  0.500  0.204 (multiplicity 2)
O  0.218  0.256  0.401 (multiplicity 4)
O  0.234  0.246  0.946 (multiplicity 4)
O  0.463  0.500  0.402 (multiplicity 2)
O  0.478  0.000  0.945 (multiplicity 2)

Principal peaks in the range 2θ from 10° to 90°, low angle first:
index, d [Å], I (rel.)
1 1 -1, 4.445, 23
1 1 1, 3.298, 49
0 2 0, 3.008, 100
1 1 -2, 2.852, 29
4 0 0, 2.223, 30
0 2 2, 2.067, 35
3 1 1, 2.063, 14
6 0 -2, 1.737, 20
4 2 -3, 1.705, 12
0 4 0, 1.504, 18